Structure and simulated XRD peak list of Ba2SrAs (the PBE geometry in Alexandria; CuKα).

Atomic structure:
Unit cell a=11.9771 b=11.9771 c=11.9771 alpha=22.49 beta=22.49 gamma=22.49
Fractional coordinates of all 4 atoms:
1 Ba 0.0000 0.0000 0.0000
2 Ba 0.2312 0.2312 0.2312
3 Sr 0.4499 0.4499 0.4499
4 As 0.6155 0.6155 0.6155

Principal peaks in the range 2θ = 5–70°, by intensity:
2theta  I/Imax
25.43  100
7.58  76
24.24  48
38.55  47
30.08  40
40.23  36
62.12  36
46.73  27
22.86  23
45.29  23
33.86  13
49.66  13

Structure and simulated XRD peak list of TbPmY6 (the PBE geometry in Alexandria; CuKα).

Atomic structure:
Unit cell a=6.4898 b=6.4898 c=6.4898 alpha=96.21 beta=96.21 gamma=96.21
Fractional coordinates of all 8 atoms:
1 Tb 0.0000 0.0000 0.0000
2 Pm 0.5000 0.5000 0.5000
3 Y 0.0441 0.4570 0.7513
4 Y 0.2487 0.9559 0.5430
5 Y 0.4570 0.7513 0.0441
6 Y 0.5430 0.2487 0.9559
7 Y 0.7513 0.0441 0.4570
8 Y 0.9559 0.5430 0.2487

Principal peaks in the range 2θ = 5–70°, by intensity:
2theta  I/Imax
32.09  100
32.75  66
27.86  48
33.58  44
57.60  25
20.77  25
50.99  24
46.49  22
58.88  19
29.64  18
54.04  18
37.73  17